# Gd2AsO5
Simulated X-ray diffraction stick pattern, Cu Kα (weighted mean of Kα1 and Kα2). Input: a cell relaxed with PBE.
No peak broadening, texture or thermal motion is included.

Crystal structure
a b c (Å): 8.4965 8.4965 5.8424
angles (deg): 90.00 90.00 90.00
Element x y z (fractional)
Gd (0.0986, 0.8920, 0.2488)
Gd (0.1080, 0.5986, 0.7512)
Gd (0.3920, 0.9014, 0.7512)
Gd (0.4014, 0.6080, 0.2488)
Gd (0.5986, 0.3920, 0.7512)
Gd (0.6080, 0.0986, 0.2488)
Gd (0.8920, 0.4014, 0.2488)
Gd (0.9014, 0.1080, 0.7512)
As (0.2500, 0.2500, 0.1397)
As (0.2500, 0.2500, 0.5441)
As (0.7500, 0.7500, 0.4559)
As (0.7500, 0.7500, 0.8603)
O (0.0554, 0.1613, 0.0991)
O (0.0558, 0.3364, 0.6058)
O (0.1613, 0.4446, 0.0991)
O (0.1636, 0.0558, 0.6058)
O (0.2500, 0.7500, 0.0000)
O (0.2500, 0.7500, 0.5000)
O (0.3364, 0.4442, 0.6058)
O (0.3387, 0.0554, 0.0991)
O (0.4442, 0.1636, 0.6058)
O (0.4446, 0.3387, 0.0991)
O (0.5554, 0.6613, 0.9009)
O (0.5558, 0.8364, 0.3942)
O (0.6613, 0.9446, 0.9009)
O (0.6636, 0.5558, 0.3942)
O (0.7500, 0.2500, 0.0000)
O (0.7500, 0.2500, 0.5000)
O (0.8364, 0.9442, 0.3942)
O (0.8387, 0.5554, 0.9009)
O (0.9442, 0.6636, 0.3942)
O (0.9446, 0.8387, 0.9009)

Main lines, in order of falling intensity (5° ≤ 2θ ≤ 70°):
d/Å  Position (°2θ)  intensity
3.185  28.0  1000
2.687  33.3  266
1.733  52.8  209
1.523  60.8  178
1.978  45.9  146
1.718  53.3  144
2.921  30.6  116
2.185  41.3  113
1.652  55.6  109
1.943  46.7  107